(1)
Diffraction record for MgSiH6O6. The PXRD pattern is simulated, not measured: it uses DFT lattice parameters and positions (PBE) and Cu Kα, 1.54184 Å.
Kinematic intensities with the Lorentz-polarization factor, no thermal factor.

Main lines, by angle (10 to 90 degrees two-theta):
d_spacing	I_rel	h k l
3.695	60	0 0 2
3.669	100	1 1 0
2.222	32	1 0 -3
2.203	19	2 1 -1
1.652	38	1 3 0
1.643	21	2 2 2
1.509	18	0 2 4
1.490	23	3 1 2

```
28
Lattice="5.141 0.000 0.000 0.000 5.237 0.000 -0.011 0.000 7.390" Properties=species:S:1:pos:R:3 pbc="T T T"
Mg 1.269 0.000 1.855
Mg 3.860 2.618 5.535
Si 1.270 5.230 5.538
Si 3.860 2.611 1.852
H 0.042 0.709 7.334
H 0.335 3.429 3.335
H 1.149 2.890 5.412
H 1.595 2.423 1.599
H 2.099 1.657 6.951
H 2.532 4.612 3.773
H 2.598 1.994 3.618
H 3.031 4.275 0.439
H 3.535 5.042 5.791
H 3.981 0.272 1.978
H 4.795 0.811 4.055
H 5.088 3.328 0.056
O 0.233 3.446 2.343
O 0.517 3.629 5.162
O 0.637 5.161 7.233
O 1.902 0.134 3.847
O 2.093 1.585 5.954
O 2.313 1.775 1.363
O 2.817 4.394 6.027
O 3.037 4.204 1.436
O 3.228 2.753 3.543
O 4.493 2.543 0.158
O 4.613 1.011 2.228
O 4.897 0.828 5.047
```


(2)
Diffraction record for Mg7Si4H2O16. The PXRD pattern is simulated, not measured: it uses DFT lattice parameters and positions (PBE) and Cu Kα, 1.54184 Å.
Kinematic intensities with the Lorentz-polarization factor, no thermal factor.

Main lines, by angle (10 to 90 degrees two-theta):
d_spacing	I_rel	h k l
3.241	39	1 1 2
2.686	30	1 0 3
2.675	45	1 2 1
2.475	62	4 1 1
2.239	38	3 2 1
2.071	25	0 0 4
2.054	56	4 2 0
1.458	100	0 4 0

```
58
Lattice="11.584 0.000 0.000 0.000 5.828 0.000 0.000 0.000 8.283" Properties=species:S:1:pos:R:3 pbc="T T T"
Mg 0.000 0.000 0.000
Mg 0.000 2.914 4.141
Mg 1.318 1.435 2.057
Mg 1.318 4.394 2.057
Mg 2.896 2.914 4.521
Mg 4.474 1.435 2.057
Mg 4.474 4.394 2.057
Mg 5.792 0.000 0.000
Mg 5.792 2.914 4.141
Mg 7.110 1.435 6.226
Mg 7.110 4.394 6.226
Mg 8.688 2.914 3.762
Mg 10.266 1.435 6.226
Mg 10.266 4.394 6.226
Si 1.378 2.914 7.388
Si 1.437 0.000 5.069
Si 4.355 0.000 5.069
Si 4.414 2.914 7.388
Si 7.170 2.914 0.895
Si 7.229 0.000 3.213
Si 10.147 0.000 3.213
Si 10.206 2.914 0.895
H 2.896 0.000 0.801
H 2.896 2.914 1.190
H 8.688 0.000 7.482
H 8.688 2.914 7.093
O 0.157 0.000 6.123
O 0.183 2.914 6.201
O 1.356 1.580 0.043
O 1.356 4.249 0.043
O 1.444 1.396 4.135
O 1.444 4.432 4.135
O 2.896 0.000 1.789
O 2.896 0.000 5.843
O 2.896 2.914 2.178
O 2.896 2.914 6.557
O 4.348 1.396 4.135
O 4.348 4.432 4.135
O 4.436 1.580 0.043
O 4.436 4.249 0.043
O 5.609 2.914 6.201
O 5.635 0.000 6.123
O 5.949 0.000 2.160
O 5.975 2.914 2.082
O 7.148 1.580 8.239
O 7.148 4.249 8.239
O 7.236 1.396 4.148
O 7.236 4.432 4.148
O 8.688 0.000 2.440
O 8.688 0.000 6.494
O 8.688 2.914 1.726
O 8.688 2.914 6.105
O 10.140 1.396 4.148
O 10.140 4.432 4.148
O 10.228 1.580 8.239
O 10.228 4.249 8.239
O 11.401 2.914 2.082
O 11.427 0.000 2.160
```


(3)
Diffraction record for MgSiH2O4. The PXRD pattern is simulated, not measured: it uses DFT lattice parameters and positions (PBE) and Cu Kα, 1.54184 Å.
Kinematic intensities with the Lorentz-polarization factor, no thermal factor.

Main lines, by angle (10 to 90 degrees two-theta):
d_spacing	I_rel	h k l
3.275	83	1 0 -1
3.100	44	1 0 1
2.375	100	1 1 0
2.153	36	1 1 -1
2.101	41	1 1 1
1.634	70	2 1 -1
1.589	32	2 1 1
1.389	36	0 1 3

```
8
Lattice="4.283 0.000 0.000 0.000 2.856 0.000 -0.264 0.000 4.770" Properties=species:S:1:pos:R:3 pbc="T T T"
Mg 0.000 0.000 0.000
Si 2.010 1.428 2.385
H -0.132 0.000 2.385
H 2.141 1.428 0.000
O 0.933 0.000 2.950
O 1.224 1.428 0.811
O 2.795 1.428 3.960
O 3.086 0.000 1.820
```


(4)
Diffraction record for MgSiH2O4. The PXRD pattern is simulated, not measured: it uses DFT lattice parameters and positions (PBE) and Cu Kα, 1.54184 Å.
Kinematic intensities with the Lorentz-polarization factor, no thermal factor.

Main lines, by angle (10 to 90 degrees two-theta):
d_spacing	I_rel	h k l
3.309	98	1 0 -1
3.123	52	1 0 1
2.386	100	1 1 0
2.164	42	1 1 -1
2.150	34	1 0 -2
2.109	47	1 1 1
1.648	76	2 1 -1
1.395	39	0 1 3

```
8
Lattice="4.335 0.000 0.000 0.000 2.860 0.000 -0.280 0.000 4.793" Properties=species:S:1:pos:R:3 pbc="T T T"
Mg 0.000 0.000 0.000
Si 2.023 1.430 2.526
H 2.061 1.430 0.199
H 4.044 0.000 2.378
O 1.001 0.000 3.025
O 1.259 1.430 0.878
O 2.902 1.430 3.996
O 3.134 0.000 1.841
```


- Number 1 is which compound?
  MgSiH6O6